1.
Pm3PrSm2Se6: theoretical powder diffractogram (λ = 1.5418 Å (Cu Kα)), based on a crystal structure in Alexandria, relaxed with PBE.

Cell and atoms:
Unit cell a=7.254 b=12.630 c=7.278 alpha=90.00 beta=109.49 gamma=90.00
Space group C2/m (No. 12)
Symmetry-distinct sites (fractional):
Pm 0.000 0.000 0.000
Pm 0.000 0.336 0.000
Pr 0.000 0.500 0.500
Sm 0.000 0.166 0.500
Se 0.245 0.000 0.749
Se 0.247 0.169 0.249

Largest 10 diffraction maxima, sorted by position, 2θ from 5° to 70°:
index  2θ (°)  I_rel
0 0 2  26.0  13
2 0 0  26.1  4
1 3 1  30.1  100
1 3 -3  43.0  37
2 0 2  43.1  37
2 6 0  50.9  5
2 6 -2  53.4  13
0 0 4  53.4  7
4 0 0  53.6  7
2 6 2  62.5  8



2.
MnCoReCSBr: theoretical powder diffractogram (λ = 1.5418 Å (Cu Kα)), based on a crystal structure in Alexandria, relaxed with PBE.

Cell and atoms:
Unit cell a=3.487 b=3.792 c=9.197 alpha=78.95 beta=84.83 gamma=89.99
Space group P1 (No. 1)
Symmetry-distinct sites (fractional):
Mn 0.000 0.000 0.000
Co 0.936 0.875 0.271
Re 0.444 0.390 0.238
C 0.465 0.931 0.152
S 0.904 0.313 0.406
Br 0.045 0.586 0.815

Largest 10 diffraction maxima, sorted by position, 2θ from 5° to 70°:
index  2θ (°)  I_rel
0 0 1  9.8  100
0 0 2  19.8  28
1 0 -1  28.4  9
1 0 2  31.1  8
0 1 -2  34.1  10
1 1 1  35.1  8
-1 1 1  35.8  8
1 -1 1  37.1  9
1 1 2  37.4  8
0 2 1  48.0  8



3.
CdSnAs2Ir: theoretical powder diffractogram (λ = 1.5418 Å (Cu Kα)), based on a crystal structure in Alexandria, relaxed with PBE.

Cell and atoms:
Unit cell a=5.205 b=5.205 c=4.983 alpha=90.00 beta=90.00 gamma=90.00
Space group P4/mmm (No. 123)
Symmetry-distinct sites (fractional):
Cd 0.000 0.000 0.000
Sn 0.500 0.500 0.500
As 0.000 0.500 0.500
Ir 0.500 0.500 0.000

Largest 10 diffraction maxima, sorted by position, 2θ from 5° to 70°:
index  2θ (°)  I_rel
1 0 0  17.0  62
1 1 0  24.2  53
1 1 1  30.2  96
2 0 0  34.5  100
0 0 2  36.1  44
1 1 2  43.9  22
2 2 0  49.5  36
2 0 2  50.7  67
3 1 1  59.1  27
2 2 2  62.8  35



4.
Mg3Cu2: theoretical powder diffractogram (λ = 1.5418 Å (Cu Kα)), based on a crystal structure in Alexandria, relaxed with PBE.

Cell and atoms:
Unit cell a=4.4384 b=4.4384 c=5.3942 alpha=90.00 beta=90.00 gamma=120.00
Space group P-3m1 (No. 164)
Symmetry-distinct sites (fractional):
Mg 0.0000 0.0000 0.0000
Mg 0.3333 0.6667 0.3520
Cu 0.3333 0.6667 0.8648

Largest 10 diffraction maxima, sorted by position, 2θ from 5° to 70°:
index  2θ (°)  I_rel
0 0 1  16.4  45
1 0 0  23.1  39
0 1 1  28.5  29
1 1 0  40.7  85
1 0 2  40.9  100
1 1 1  44.1  21
2 0 0  47.3  6
2 0 1  50.4  6
1 0 3  56.5  8
0 2 2  59.0  32



5.
Pm2MgAl2Pd5: theoretical powder diffractogram (λ = 1.5418 Å (Cu Kα)), based on a crystal structure in Alexandria, relaxed with PBE.

Cell and atoms:
Unit cell a=10.440 b=10.440 c=3.462 alpha=90.00 beta=90.00 gamma=90.00
Space group P4/mbm (No. 127)
Symmetry-distinct sites (fractional):
Pm 0.176 0.324 0.000
Mg 0.000 0.000 0.000
Al 0.124 0.624 0.000
Pd 0.000 0.500 0.500
Pd 0.060 0.791 0.500

Largest 10 diffraction maxima, sorted by position, 2θ from 5° to 70°:
index  2θ (°)  I_rel
2 0 1  31.0  26
2 1 1  32.2  70
4 1 0  35.5  100
2 2 1  35.6  31
3 3 0  36.5  45
3 1 1  37.6  100
3 2 1  40.6  39
4 0 1  43.4  24
5 4 1  63.0  38
4 1 2  65.3  33



6.
ThTl2Se2I2: theoretical powder diffractogram (λ = 1.5418 Å (Cu Kα)), based on a crystal structure in Alexandria, relaxed with PBE.

Cell and atoms:
Unit cell a=5.707 b=5.707 c=17.720 alpha=90.00 beta=90.00 gamma=90.00
Space group I4/mmm (No. 139)
Symmetry-distinct sites (fractional):
Th 0.000 0.000 0.000
Tl 0.000 0.000 0.385
Se 0.000 0.500 0.000
I 0.000 0.000 0.176

Largest 10 diffraction maxima, sorted by position, 2θ from 5° to 70°:
index  2θ (°)  I_rel
0 0 2  10.0  41
1 1 0  22.0  92
1 0 5  29.7  100
1 1 4  30.0  27
2 0 0  31.4  81
2 1 5  43.7  70
2 2 0  44.9  30
3 1 0  50.6  21
3 0 5  54.8  18
3 2 5  64.5  22